Diffraction record for Na8Ta7VO24. The powder diffractogram is computed, not measured: it uses a DFT-relaxed cell (GGA+U, Alexandria) and Cu Kα (weighted mean of Kα1 and Kα2).

Structure:
```
data_Na8Ta7VO24
_cell_length_a 7.9194
_cell_length_b 7.9194
_cell_length_c 7.9194
_cell_angle_alpha 90.00
_cell_angle_beta 90.00
_cell_angle_gamma 90.00
_space_group_name_H-M_alt 'P m -3 m'
_space_group_IT_number 221
_space_group_name_Hall '-P 4 2 3'
loop_
_atom_site_label
_atom_site_type_symbol
_atom_site_fract_x
_atom_site_fract_y
_atom_site_fract_z
Na1 Na 0.2438 0.2438 0.2438
Ta1 Ta 0.0000 0.0000 0.5000
Ta2 Ta 0.0000 0.5000 0.5000
Ta3 Ta 0.5000 0.5000 0.5000
V1 V 0.0000 0.0000 0.0000
O1 O 0.0000 0.0000 0.2436
O2 O 0.0000 0.2493 0.5000
O3 O 0.2495 0.5000 0.5000
```

Main lines, most intense first (2θ = 10–80°):
Position (°2θ)	I/Imax	h k l
22.45	100	2 0 0
31.96	98	2 2 0
51.61	42	4 2 0
56.97	39	4 2 2
45.83	34	4 0 0
66.83	20	4 4 0
71.47	20	6 0 0
76.00	17	6 2 0
39.41	10	2 2 2
15.83	4	1 1 0

Diffraction record for NaTaWO7. The powder diffractogram is computed, not measured: it uses a DFT-relaxed cell (GGA+U, Alexandria) and Cu Kα (weighted mean of Kα1 and Kα2).

Structure:
```
data_NaTaWO7
_cell_length_a 7.4356
_cell_length_b 7.4976
_cell_length_c 10.3418
_cell_angle_alpha 90.00
_cell_angle_beta 90.00
_cell_angle_gamma 90.00
_space_group_name_H-M_alt 'I m m a'
_space_group_IT_number 74
_space_group_name_Hall '-I 2b 2'
loop_
_atom_site_label
_atom_site_type_symbol
_atom_site_fract_x
_atom_site_fract_y
_atom_site_fract_z
Na1 Na 0.0000 0.0000 0.0000
Ta1 Ta 0.2500 0.2500 0.2500
W1 W 0.0000 0.0000 0.5000
O1 O 0.0000 0.2500 0.1806
O2 O 0.0000 0.2500 0.5637
O3 O 0.0000 0.2500 0.8157
O4 O 0.1848 0.0652 0.3792
```

Main lines, most intense first (2θ = 10–80°):
Position (°2θ)	I/Imax	h k l
14.63	100	0 1 1
29.43	44	0 2 2
29.59	38	2 0 2
28.15	25	2 1 1
49.34	23	2 2 4
28.52	19	1 0 3
28.02	18	1 2 1
33.96	17	2 2 0
57.91	13	2 4 2
58.20	13	4 2 2